Record 1
Starting from the GGA-PBE geometry in Alexandria, the powder XRD pattern of Bi2Pd5Pb was calculated for Cu Kα (weighted mean of Kα1 and Kα2).
Peak positions follow from Bragg's law for the DFT cell and can differ from measured ones.

```
data_Bi2Pd5Pb
_chemical_formula_sum 'Bi4 Pd10 Pb2'
_cell_length_a 6.800
_cell_length_b 6.800
_cell_length_c 6.784
_cell_angle_alpha 90.00
_cell_angle_beta 90.00
_cell_angle_gamma 90.00
_space_group_name_H-M_alt 'P 1'
_space_group_IT_number 1
loop_
_space_group_symop_operation_xyz
'x,y,z'
loop_
_atom_site_label
_atom_site_type_symbol
_atom_site_fract_x
_atom_site_fract_y
_atom_site_fract_z
Bi1 Bi 0.000 0.500 0.000
Bi2 Bi 0.000 0.500 0.500
Bi3 Bi 0.500 0.000 0.000
Bi4 Bi 0.500 0.000 0.500
Pd1 Pd 0.000 0.000 0.036
Pd2 Pd 0.216 0.216 0.742
Pd3 Pd 0.216 0.784 0.742
Pd4 Pd 0.284 0.284 0.242
Pd5 Pd 0.284 0.716 0.242
Pd6 Pd 0.500 0.500 0.536
Pd7 Pd 0.716 0.284 0.242
Pd8 Pd 0.716 0.716 0.242
Pd9 Pd 0.784 0.216 0.742
Pd10 Pd 0.784 0.784 0.742
Pb1 Pb 0.000 0.000 0.436
Pb2 Pb 0.500 0.500 0.936
```

Peak list (12 most intense, 2θ from 15° to 90°, by angle)
2theta	I/Imax
26.22	10
32.27	11
37.44	100
42.06	12
50.24	4
53.94	11
54.07	4
60.94	6
64.31	7
67.53	25
70.67	4
76.79	4

Record 2
Starting from the GGA-PBE geometry in Alexandria, the powder XRD pattern of TlBiPd4Pb2 was calculated for Cu Kα (weighted mean of Kα1 and Kα2).
Peak positions follow from Bragg's law for the DFT cell and can differ from measured ones.

```
data_TlBiPd4Pb2
_chemical_formula_sum 'Tl2 Bi2 Pd8 Pb4'
_cell_length_a 8.120
_cell_length_b 8.120
_cell_length_c 8.120
_cell_angle_alpha 130.26
_cell_angle_beta 111.33
_cell_angle_gamma 89.43
_space_group_name_H-M_alt 'P 1'
_space_group_IT_number 1
loop_
_space_group_symop_operation_xyz
'x,y,z'
loop_
_atom_site_label
_atom_site_type_symbol
_atom_site_fract_x
_atom_site_fract_y
_atom_site_fract_z
Tl1 Tl 0.500 0.000 0.000
Tl2 Tl 0.500 0.500 0.500
Bi1 Bi 0.000 0.000 0.000
Bi2 Bi 0.500 0.000 0.500
Pd1 Pd 0.253 0.249 0.004
Pd2 Pd 0.255 0.265 0.510
Pd3 Pd 0.255 0.745 0.990
Pd4 Pd 0.255 0.751 0.504
Pd5 Pd 0.745 0.249 0.496
Pd6 Pd 0.745 0.255 0.010
Pd7 Pd 0.745 0.735 0.490
Pd8 Pd 0.747 0.751 0.996
Pb1 Pb 0.000 0.000 0.500
Pb2 Pb 0.000 0.500 0.000
Pb3 Pb 0.000 0.500 0.500
Pb4 Pb 0.500 0.500 0.000
```

Peak list (12 most intense, 2θ from 15° to 90°, by angle)
2theta	I/Imax
24.82	18
31.00	58
32.71	100
39.34	30
45.68	80
50.91	29
53.67	12
63.28	15
67.16	13
74.32	19
75.80	18
77.12	17

Record 3
Starting from the GGA-PBE geometry in Alexandria, the powder XRD pattern of Pm5Bi4Pb was calculated for Cu Kα (weighted mean of Kα1 and Kα2).
Peak positions follow from Bragg's law for the DFT cell and can differ from measured ones.

```
data_Pm5Bi4Pb
_chemical_formula_sum 'Pm5 Bi4 Pb1'
_cell_length_a 7.918
_cell_length_b 7.918
_cell_length_c 7.918
_cell_angle_alpha 99.60
_cell_angle_beta 99.60
_cell_angle_gamma 131.80
_space_group_name_H-M_alt 'P 1'
_space_group_IT_number 1
loop_
_space_group_symop_operation_xyz
'x,y,z'
loop_
_atom_site_label
_atom_site_type_symbol
_atom_site_fract_x
_atom_site_fract_y
_atom_site_fract_z
Pm1 Pm 0.000 0.000 0.000
Pm2 Pm 0.201 0.400 0.600
Pm3 Pm 0.400 0.800 0.199
Pm4 Pm 0.601 0.201 0.801
Pm5 Pm 0.800 0.601 0.400
Bi1 Bi 0.100 0.700 0.799
Bi2 Bi 0.301 0.100 0.400
Bi3 Bi 0.700 0.902 0.600
Bi4 Bi 0.902 0.301 0.201
Pb1 Pb 0.500 0.500 0.000
```

Peak list (12 most intense, 2θ from 15° to 90°, by angle)
2theta	I/Imax
23.84	5
27.59	100
39.42	79
46.59	3
48.79	29
56.97	14
62.63	1
64.45	38
71.49	28
76.57	1
84.83	9
89.73	1